1.
UCd6: simulated X-ray diffraction stick pattern (Cu Kα), based on DFT lattice parameters and positions (GGA-PBE).

Crystal structure
```
UCd6
1.0
-3.8454 3.8454 3.8454
3.8454 -3.8454 3.8454
3.8454 3.8454 -3.8454
U Cd
1 6
Direct
0.0000 0.0000 0.0000
0.2500 0.5000 0.7500
0.2500 0.7500 0.5000
0.5000 0.2500 0.7500
0.5000 0.7500 0.2500
0.7500 0.2500 0.5000
0.7500 0.5000 0.2500
```

Peak list (8 most intense, 15° ≤ 2θ ≤ 90°, in order of rising 2θ)
Position (°2θ), d (Å), intensity
23.13, 3.845, 42
28.43, 3.140, 100
44.06, 2.055, 61
47.28, 1.923, 25
53.27, 1.720, 17
66.60, 1.404, 18
69.09, 1.360, 15
76.33, 1.248, 18

---

2.
UZnCd: simulated X-ray diffraction stick pattern (Cu Kα), based on DFT lattice parameters and positions (GGA-PBE).

Crystal structure
```
UZnCd
1.0
-1.4138 1.4138 7.2880
1.4138 -1.4138 7.2880
1.4138 1.4138 -7.2880
U Zn Cd
1 1 1
Direct
0.0000 0.0000 0.0000
0.6623 0.6623 0.0000
0.3141 0.3141 0.0000
```

Peak list (8 most intense, 15° ≤ 2θ ≤ 90°, in order of rising 2θ)
Position (°2θ), d (Å), intensity
24.43, 3.644, 15
32.25, 2.776, 19
36.78, 2.444, 100
37.00, 2.429, 23
45.36, 1.999, 28
59.92, 1.544, 22
66.54, 1.405, 14
78.10, 1.224, 23

---

3.
UZnCd: simulated X-ray diffraction stick pattern (Cu Kα), based on DFT lattice parameters and positions (GGA-PBE).

Crystal structure
```
UZnCd
1.0
0.0000 3.9557 6.0169
2.7285 0.0000 6.0169
2.7285 3.9557 0.0000
U Zn Cd
2 2 2
Direct
0.1663 0.8337 0.1663
0.8337 0.1663 0.8337
0.3844 0.3844 0.6156
0.6156 0.6156 0.3844
0.2500 0.2500 0.2500
0.7500 0.7500 0.7500
```

Peak list (8 most intense, 15° ≤ 2θ ≤ 90°, in order of rising 2θ)
Position (°2θ), d (Å), intensity
22.48, 3.956, 31
29.70, 3.008, 47
29.86, 2.992, 60
36.15, 2.485, 93
37.56, 2.395, 60
38.65, 2.329, 100
42.98, 2.104, 45
44.33, 2.043, 30